This entry pairs a crystal structure of InAg2I with its calculated X-ray diffraction stick pattern. Radiation: Cu Ka. Structure: a DFT-relaxed cell (GGA-PBE, Alexandria).
Intensities are scaled so that the largest is 100.

Cell and atoms:
```
InAg2I
1.0
4.485 0.000 0.000
-0.056 5.806 0.000
-0.070 -1.558 8.352
In Ag I
2 4 2
direct
0.000 0.000 0.000 In
0.000 0.387 0.670 In
0.001 0.516 0.026 Ag
0.492 0.705 0.848 Ag
0.501 0.226 0.876 Ag
0.517 0.788 0.187 Ag
0.225 0.310 0.314 I
0.674 0.868 0.541 I
```

Principal peaks in the range 2θ from 10° to 90°, by angle:
| d [Å] | intensity |
| --- | --- |
| 8.352 | 100 |
| 3.546 | 46 |
| 3.507 | 44 |
| 2.705 | 45 |
| 2.422 | 87 |
| 2.406 | 42 |
| 2.376 | 61 |
| 2.355 | 71 |

=====

This entry pairs a crystal structure of InAgI2 with its calculated X-ray diffraction stick pattern. Radiation: Cu Ka. Structure: a DFT-relaxed cell (GGA-PBE, Alexandria).
Intensities are scaled so that the largest is 100.

Cell and atoms:
```
InAgI2
1.0
2.648 1.529 8.781
-2.648 1.529 8.781
0.000 -3.057 8.781
In Ag I
1 1 2
direct
0.000 0.000 0.000 In
0.500 0.500 0.500 Ag
0.400 0.400 0.400 I
0.600 0.600 0.600 I
```

Principal peaks in the range 2θ from 10° to 90°, by angle:
| d [Å] | intensity |
| --- | --- |
| 4.518 | 47 |
| 4.331 | 100 |
| 3.459 | 39 |
| 2.675 | 29 |
| 2.648 | 68 |
| 2.284 | 52 |
| 1.730 | 25 |
| 1.448 | 20 |

=====

This entry pairs a crystal structure of In4AgI5 with its calculated X-ray diffraction stick pattern. Radiation: Cu Ka. Structure: a DFT-relaxed cell (GGA-PBE, Alexandria).
Intensities are scaled so that the largest is 100.

Cell and atoms:
```
In4AgI5
1.0
-5.368 5.368 3.481
5.368 -5.368 3.481
5.368 5.368 -3.481
In Ag I
4 1 5
direct
0.094 0.697 0.790 In
0.303 0.094 0.397 In
0.697 0.906 0.603 In
0.906 0.303 0.210 In
0.429 0.429 0.000 Ag
0.009 0.009 0.000 I
0.239 0.405 0.636 I
0.405 0.769 0.166 I
0.603 0.239 0.834 I
0.769 0.603 0.364 I
```

Principal peaks in the range 2θ from 10° to 90°, by angle:
| d [Å] | intensity |
| --- | --- |
| 3.481 | 54 |
| 3.395 | 100 |
| 2.430 | 76 |
| 2.401 | 36 |
| 1.976 | 36 |
| 1.549 | 16 |
| 1.526 | 13 |
| 1.392 | 16 |